For NaMgSnTe3, the PBE geometry in Alexandria gives the theoretical powder diffraction line list in this record (CuKα).
No peak broadening, texture or thermal motion is included.

Main lines, sorted by position (2θ from 10° to 90°):
2theta	I/Imax	h k l
11.83	407	1 0 -1
22.46	1000	0 1 1
25.02	786	2 0 1
27.26	385	1 1 -2
29.87	325	2 1 -1
30.21	381	2 1 0
32.43	954	1 1 -3
32.67	372	3 0 0
42.44	517	0 2 0
43.49	443	1 1 4

Crystal structure
abc: 8.486 4.258 11.080
angles: 90.00 104.25 90.00
Space group P2_1/m (No. 11)
Inequivalent atoms, fractional coordinates:
Na  0.223  0.250  0.217 x2
Mg  0.338  0.750  0.919 x2
Sn  0.144  0.250  0.639 x2
Te  0.077  0.250  0.892 x2
Te  0.227  0.750  0.478 x2
Te  0.488  0.750  0.180 x2